# Tb2Fe5Co5
Calculated powder diffraction line list, CuKα. Input: DFT lattice parameters and positions (GGA-PBE).

```
Tb2Fe5Co5
1.0
3.9068 0.0000 0.0000
0.0000 5.0374 0.0000
0.0000 0.0000 8.6914
Tb Fe Co
2 5 5
direct
0.0000 0.0000 0.0000 Tb
0.0000 0.5000 0.5000 Tb
0.0000 0.0000 0.3314 Fe
0.0000 0.0000 0.6686 Fe
0.0000 0.5000 0.1661 Fe
0.0000 0.5000 0.8339 Fe
0.5000 0.0000 0.5000 Fe
0.5000 0.2500 0.2495 Co
0.5000 0.2500 0.7505 Co
0.5000 0.5000 0.0000 Co
0.5000 0.7500 0.2495 Co
0.5000 0.7500 0.7505 Co
```

Main lines, in order of rising 2θ (15 to 90 degrees two-theta):
(hkl)  Position (°2θ)  intensity
1 0 2  30.7  56
0 1 3  35.8  23
0 2 2  41.4  26
1 2 0  42.8  100
2 0 0  46.5  24
2 0 4  64.1  25